Computed powder diffractogram
Compound: Ho10Ti6O27
Radiation: copper Kα
Structure: a cell relaxed with PBE
Neutral-atom scattering factors, no anomalous dispersion.

Unit cell a=12.899 b=7.253 c=12.499 alpha=90.00 beta=110.60 gamma=90.00
Space group Cm (No. 8)
Unique sites:
Ho  0.000  0.000  0.000
Ho  0.003  0.000  0.507
Ho  0.015  0.245  0.257
Ho  0.037  0.500  0.995
Ho  0.261  0.000  0.278
Ho  0.269  0.000  0.772
Ho  0.274  0.500  0.239
Ho  0.494  0.253  0.736
Ti  0.018  0.500  0.510
Ti  0.256  0.256  0.498
Ti  0.261  0.238  0.009
Ti  0.271  0.500  0.760
O  0.083  0.000  0.190
O  0.088  0.000  0.694
O  0.106  0.215  0.947
O  0.108  0.267  0.482
O  0.112  0.500  0.679
O  0.201  0.291  0.320
O  0.229  0.500  0.047
O  0.252  0.000  0.459
O  0.280  0.318  0.867
O  0.281  0.000  0.956
O  0.299  0.247  0.665
O  0.309  0.213  0.170
O  0.323  0.500  0.501
O  0.433  0.500  0.800
O  0.437  0.202  0.542
O  0.450  0.500  0.320
O  0.454  0.000  0.815
O  0.460  0.000  0.345
O  0.462  0.222  0.068

Principal peaks in the range 2θ from 10° to 80°, most intense first:
hkl 2 2 -2, 30.01°, I = 100
hkl 4 0 0, 29.59°, I = 53
hkl 0 0 4, 30.56°, I = 47
hkl 2 2 2, 35.06°, I = 44
hkl 2 2 -6, 50.54°, I = 38
hkl 6 2 -2, 49.28°, I = 28
hkl 4 0 -4, 34.38°, I = 21
hkl 0 4 0, 50.32°, I = 18
hkl 4 4 0, 59.47°, I = 14
hkl 0 4 4, 60.03°, I = 14